The following is a simulated X-ray powder pattern of MgNiP2O7. It was derived from the GGA+U geometry in the Materials Project, using Cu Kα (weighted mean of Kα1 and Kα2).
Kinematic intensities with the Lorentz-polarization factor, no thermal factor.

abc: 5.530 6.420 7.361
angles: 82.50 87.47 71.56
Space group P-1 (No. 2)
One atom of each set of equivalent atoms:
Mg1 0.169 0.342 0.346 x2
Ni1 0.246 0.838 0.797 x2
P1 0.266 0.802 0.386 x2
P2 0.315 0.313 0.905 x2
O1 0.106 0.647 0.431 x2
O2 0.107 0.044 0.326 x2
O3 0.147 0.548 0.829 x2
O4 0.206 0.132 0.878 x2
O5 0.397 0.307 0.104 x2
O6 0.421 0.720 0.207 x2
O7 0.448 0.786 0.544 x2

Largest 10 diffraction maxima, by angle, 2θ from 10° to 90°:
- hkl 1 1 0, 2θ 18.60, I = 13
- hkl 1 0 -1, 2θ 20.88, I = 23
- hkl 1 2 0, 2θ 29.11, I = 54
- hkl 1 -1 1, 2θ 29.30, I = 31
- hkl 0 2 0, 2θ 29.56, I = 29
- hkl 1 0 -2, 2θ 29.84, I = 100
- hkl 2 0 0, 2θ 34.20, I = 26
- hkl 2 0 2, 2θ 42.38, I = 14
- hkl -1 1 3, 2θ 44.01, I = 14
- hkl 2 2 -2, 2θ 47.56, I = 13



The following is a simulated X-ray powder pattern of MgFe3Ni2SbP6O24. It was derived from the GGA+U geometry in the Materials Project, using Cu Kα (weighted mean of Kα1 and Kα2).
Kinematic intensities with the Lorentz-polarization factor, no thermal factor.

abc: 8.679 8.681 8.681
angles: 60.31 60.34 60.33
Space group P1 (No. 1)
One atom of each set of equivalent atoms:
Mg1 0.000 0.000 0.000 x1
Fe1 0.275 0.277 0.277 x1
Fe2 0.756 0.759 0.759 x1
Fe3 0.876 0.879 0.879 x1
Ni1 0.132 0.135 0.134 x1
Ni2 0.629 0.630 0.630 x1
Sb1 0.482 0.484 0.483 x1
P1 0.084 0.675 0.372 x1
P2 0.178 0.574 0.882 x1
P3 0.371 0.087 0.675 x1
P4 0.571 0.884 0.180 x1
P5 0.675 0.372 0.087 x1
P6 0.881 0.180 0.573 x1
O1 0.015 0.619 0.824 x1
O2 0.034 0.209 0.378 x1
O3 0.080 0.874 0.231 x1
O4 0.135 0.743 0.930 x1
O5 0.153 0.532 0.281 x1
O6 0.207 0.379 0.035 x1
O7 0.227 0.619 0.470 x1
O8 0.229 0.081 0.874 x1
O9 0.279 0.158 0.531 x1
O10 0.375 0.562 0.713 x1
O11 0.376 0.037 0.209 x1
O12 0.469 0.229 0.621 x1
O13 0.523 0.892 0.673 x1
O14 0.529 0.282 0.159 x1
O15 0.559 0.714 0.378 x1
O16 0.615 0.825 0.018 x1
O17 0.622 0.469 0.229 x1
O18 0.671 0.525 0.892 x1
O19 0.712 0.378 0.562 x1
O20 0.740 0.931 0.136 x1
O21 0.823 0.018 0.618 x1
O22 0.873 0.230 0.080 x1
O23 0.890 0.674 0.525 x1
O24 0.929 0.137 0.743 x1

Largest 10 diffraction maxima, by angle, 2θ from 10° to 90°:
- hkl 1 1 1, 2θ 12.48, I = 19
- hkl 0 1 -1, 2θ 20.36, I = 100
- hkl 2 0 1, 2θ 23.97, I = 80
- hkl 2 1 2, 2θ 24.06, I = 13
- hkl 1 3 2, 2θ 32.61, I = 33
- hkl 1 1 -2, 2θ 35.66, I = 42
- hkl 4 2 2, 2θ 41.62, I = 13
- hkl 4 1 3, 2θ 46.76, I = 34
- hkl 1 -3 2, 2θ 55.77, I = 24
- hkl 5 1 2, 2θ 55.94, I = 17



The following is a simulated X-ray powder pattern of MgFe6O8F4. It was derived from the GGA+U geometry in the Materials Project, using Cu Kα (weighted mean of Kα1 and Kα2).
Kinematic intensities with the Lorentz-polarization factor, no thermal factor.

abc: 5.228 5.239 9.035
angles: 88.50 87.70 74.92
Space group P1 (No. 1)
One atom of each set of equivalent atoms:
Mg1 0.000 0.000 0.000 x1
Fe1 0.270 0.266 0.630 x1
Fe2 0.314 0.302 0.321 x1
Fe3 0.363 0.358 0.990 x1
Fe4 0.730 0.712 0.178 x1
Fe5 0.753 0.753 0.801 x1
Fe6 0.884 0.876 0.480 x1
O1 0.007 0.607 0.319 x1
O2 0.012 0.621 0.985 x1
O3 0.016 0.610 0.652 x1
O4 0.122 0.113 0.477 x1
O5 0.500 0.488 0.154 x1
O6 0.613 0.009 0.650 x1
O7 0.622 0.998 0.315 x1
O8 0.624 0.009 0.979 x1
F1 0.152 0.151 0.835 x1
F2 0.160 0.153 0.144 x1
F3 0.462 0.453 0.484 x1
F4 0.518 0.514 0.820 x1

Largest 10 diffraction maxima, by angle, 2θ from 10° to 90°:
- hkl 1 1 0, 2θ 21.41, I = 98
- hkl 1 -1 0, 2θ 28.03, I = 100
- hkl 1 1 2, 2θ 28.60, I = 16
- hkl 1 1 -2, 2θ 29.85, I = 21
- hkl 1 0 3, 2θ 34.17, I = 20
- hkl 0 1 3, 2θ 34.43, I = 19
- hkl 1 2 1, 2θ 36.41, I = 24
- hkl 1 1 -3, 2θ 37.65, I = 15
- hkl -1 2 3, 2θ 54.00, I = 22
- hkl 2 -2 0, 2θ 57.93, I = 28



The following is a simulated X-ray powder pattern of Fe4O3F5. It was derived from the GGA+U geometry in the Materials Project, using Cu Kα (weighted mean of Kα1 and Kα2).
Kinematic intensities with the Lorentz-polarization factor, no thermal factor.

abc: 4.762 7.835 7.953
angles: 105.43 90.28 90.56
Space group P-1 (No. 2)
One atom of each set of equivalent atoms:
Fe1 0.000 0.000 0.000 x1
Fe2 0.000 0.500 0.500 x1
Fe3 0.042 0.259 0.740 x2
Fe4 0.448 0.133 0.362 x2
Fe5 0.485 0.369 0.102 x2
O1 0.193 0.271 0.524 x2
O2 0.302 0.409 0.898 x2
O3 0.307 0.158 0.144 x2
F1 0.198 0.771 0.049 x2
F2 0.208 0.026 0.755 x2
F3 0.212 0.534 0.273 x2
F4 0.304 0.901 0.400 x2
F5 0.307 0.658 0.664 x2

Largest 10 diffraction maxima, by angle, 2θ from 10° to 90°:
- hkl -1 1 1, 2θ 26.25, I = 98
- hkl 1 1 1, 2θ 26.58, I = 100
- hkl 0 1 -3, 2θ 33.91, I = 28
- hkl 1 -2 2, 2θ 34.15, I = 27
- hkl 1 2 -2, 2θ 34.26, I = 26
- hkl 0 3 -1, 2θ 34.41, I = 26
- hkl 1 0 4, 2θ 51.55, I = 28
- hkl 2 -3 1, 2θ 51.77, I = 29
- hkl 1 4 0, 2θ 52.31, I = 30
- hkl 0 1 5, 2θ 65.25, I = 20



The following is a simulated X-ray powder pattern of Li3FeBPO7. It was derived from the GGA+U geometry in the Materials Project, using Cu Kα (weighted mean of Kα1 and Kα2).
Kinematic intensities with the Lorentz-polarization factor, no thermal factor.

abc: 5.020 6.449 8.421
angles: 90.00 93.61 90.00
Space group P2_1/m (No. 11)
One atom of each set of equivalent atoms:
Li1 0.237 0.250 0.417 x2
Li2 0.254 0.010 0.731 x4
Fe1 0.283 0.750 0.167 x2
B1 0.229 0.750 0.457 x2
P1 0.219 0.250 0.081 x2
O1 0.023 0.750 0.334 x2
O2 0.090 0.750 0.953 x2
O3 0.167 0.750 0.611 x2
O4 0.308 0.062 0.186 x4
O5 0.345 0.250 0.917 x2
O6 0.486 0.750 0.401 x2

Largest 10 diffraction maxima, by angle, 2θ from 10° to 90°:
- hkl 0 0 1, 2θ 10.53, I = 100
- hkl 0 1 1, 2θ 17.33, I = 43
- hkl 1 0 -1, 2θ 20.05, I = 45
- hkl 1 0 1, 2θ 21.21, I = 47
- hkl 1 1 1, 2θ 25.35, I = 20
- hkl 1 0 -2, 2θ 26.82, I = 43
- hkl 0 2 0, 2θ 27.67, I = 97
- hkl 1 0 2, 2θ 28.57, I = 19
- hkl 2 0 0, 2θ 35.85, I = 21
- hkl 1 1 3, 2θ 40.36, I = 21